# 1
Structure and theoretical XRD peak list of SmMnGe2 (the GGA-PBE geometry in the Materials Project; Cu Kα, 1.54184 Å).
Lines closer than 0.1° are merged.

Peak list (10 most intense, 2θ from 5° to 70°, in order of rising 2θ)
Position (°2θ)	Rel. int.
28.96	19
33.03	100
34.43	38
39.08	25
40.33	31
40.91	30
54.05	20
57.86	16
58.80	20
68.71	12

Structural model:
a = 8.365 Å, b = 8.365 Å, c = 4.472 Å
α = 90.00°, β = 90.00°, γ = 149.42°
Element x y z (fractional)
Sm (0.104, 0.896, 0.750)
Sm (0.896, 0.104, 0.250)
Mn (0.308, 0.692, 0.750)
Mn (0.692, 0.308, 0.250)
Ge (0.253, 0.747, 0.250)
Ge (0.455, 0.545, 0.750)
Ge (0.545, 0.455, 0.250)
Ge (0.747, 0.253, 0.750)



# 2
Structure and theoretical XRD peak list of SmMn6Sn4Ge2 (the GGA-PBE geometry in the Materials Project; Cu Kα, 1.54184 Å).
Lines closer than 0.1° are merged.

Peak list (10 most intense, 2θ from 5° to 70°, in order of rising 2θ)
Position (°2θ)	Rel. int.
33.32	100
36.15	80
38.66	41
39.25	81
40.96	21
43.97	49
45.74	20
59.54	20
61.39	35
69.96	32

Structural model:
a = 5.379 Å, b = 5.379 Å, c = 8.813 Å
α = 90.00°, β = 90.00°, γ = 120.00°
Element x y z (fractional)
Sm (0.000, 0.000, 0.000)
Mn (0.000, 0.500, 0.233)
Mn (0.000, 0.500, 0.767)
Mn (0.500, 0.000, 0.233)
Mn (0.500, 0.000, 0.767)
Mn (0.500, 0.500, 0.233)
Mn (0.500, 0.500, 0.767)
Sn (0.000, 0.000, 0.335)
Sn (0.000, 0.000, 0.665)
Sn (0.333, 0.667, 0.500)
Sn (0.667, 0.333, 0.500)
Ge (0.333, 0.667, 0.000)
Ge (0.667, 0.333, 0.000)



# 3
Structure and theoretical XRD peak list of YMn6Sn4Ge2 (the GGA-PBE geometry in the Materials Project; Cu Kα, 1.54184 Å).
Lines closer than 0.1° are merged.

Peak list (10 most intense, 2θ from 5° to 70°, in order of rising 2θ)
Position (°2θ)	Rel. int.
33.51	100
36.63	72
38.88	39
39.59	75
41.64	21
44.34	73
46.22	40
59.91	20
61.96	32
64.00	20

Structural model:
a = 5.349 Å, b = 5.349 Å, c = 8.677 Å
α = 90.00°, β = 90.00°, γ = 120.00°
Element x y z (fractional)
Y (0.000, 0.000, 0.000)
Mn (0.000, 0.500, 0.233)
Mn (0.000, 0.500, 0.767)
Mn (0.500, 0.000, 0.233)
Mn (0.500, 0.000, 0.767)
Mn (0.500, 0.500, 0.233)
Mn (0.500, 0.500, 0.767)
Sn (0.000, 0.000, 0.334)
Sn (0.000, 0.000, 0.666)
Sn (0.333, 0.667, 0.500)
Sn (0.667, 0.333, 0.500)
Ge (0.333, 0.667, 0.000)
Ge (0.667, 0.333, 0.000)



# 4
Structure and theoretical XRD peak list of SrMnGe (the GGA-PBE geometry in the Materials Project; Cu Kα, 1.54184 Å).
Lines closer than 0.1° are merged.

Peak list (10 most intense, 2θ from 5° to 70°, in order of rising 2θ)
Position (°2θ)	Rel. int.
12.09	36
28.18	47
30.76	29
31.57	100
37.56	96
40.28	76
52.05	48
54.13	33
58.26	33
69.58	31

Structural model:
a = 4.478 Å, b = 4.478 Å, c = 7.321 Å
α = 90.00°, β = 90.00°, γ = 90.00°
Element x y z (fractional)
Sr (0.250, 0.250, 0.175)
Sr (0.750, 0.750, 0.825)
Mn (0.250, 0.750, 0.500)
Mn (0.750, 0.250, 0.500)
Ge (0.250, 0.250, 0.684)
Ge (0.750, 0.750, 0.316)



# 5
Structure and theoretical XRD peak list of TaMnGe (the GGA-PBE geometry in the Materials Project; Cu Kα, 1.54184 Å).
Lines closer than 0.1° are merged.

Peak list (10 most intense, 2θ from 5° to 70°, in order of rising 2θ)
Position (°2θ)	Rel. int.
14.64	29
25.50	64
36.36	96
39.39	100
39.49	23
43.60	20
45.01	25
47.50	37
52.34	21
67.41	23

Structural model:
a = 7.816 Å, b = 7.816 Å, c = 7.816 Å
α = 126.86°, β = 78.34°, γ = 127.04°
Element x y z (fractional)
Ta (0.000, 0.000, 0.000)
Ta (0.000, 0.500, 0.500)
Ta (0.256, 0.342, 0.820)
Ta (0.256, 0.936, 0.414)
Ta (0.522, 0.436, 0.180)
Ta (0.522, 0.842, 0.586)
Mn (0.248, 0.318, 0.430)
Mn (0.251, 0.795, 0.956)
Mn (0.638, 0.901, 0.237)
Mn (0.663, 0.401, 0.763)
Mn (0.838, 0.295, 0.044)
Mn (0.887, 0.818, 0.570)
Ge (0.231, 0.517, 0.214)
Ge (0.304, 0.017, 0.786)
Ge (0.590, 0.255, 0.332)
Ge (0.590, 0.758, 0.835)
Ge (0.923, 0.258, 0.668)
Ge (0.923, 0.755, 0.165)



# 6
Structure and theoretical XRD peak list of TaMnGe (the GGA-PBE geometry in the Materials Project; Cu Kα, 1.54184 Å).
Lines closer than 0.1° are merged.

Peak list (10 most intense, 2θ from 5° to 70°, in order of rising 2θ)
Position (°2θ)	Rel. int.
27.20	22
31.51	26
37.01	100
40.39	95
42.10	38
48.07	20
50.48	23
58.62	22
64.54	31
67.77	18

Structural model:
a = 6.556 Å, b = 6.556 Å, c = 3.616 Å
α = 90.00°, β = 90.00°, γ = 120.00°
Element x y z (fractional)
Ta (0.000, 0.415, 0.000)
Ta (0.415, 0.000, 0.000)
Ta (0.585, 0.585, 0.000)
Mn (0.000, 0.750, 0.500)
Mn (0.250, 0.250, 0.500)
Mn (0.750, 0.000, 0.500)
Ge (0.000, 0.000, 0.000)
Ge (0.333, 0.667, 0.500)
Ge (0.667, 0.333, 0.500)



# 7
Structure and theoretical XRD peak list of TbMn5Ge3 (the GGA-PBE geometry in the Materials Project; Cu Kα, 1.54184 Å).
Lines closer than 0.1° are merged.

Peak list (10 most intense, 2θ from 5° to 70°, in order of rising 2θ)
Position (°2θ)	Rel. int.
30.91	14
32.51	24
33.56	100
37.26	13
38.95	13
43.95	34
44.62	21
44.82	34
47.52	14
64.58	24

Structural model:
a = 13.989 Å, b = 4.120 Å, c = 12.191 Å
α = 90.00°, β = 90.00°, γ = 90.00°
Element x y z (fractional)
Tb (0.207, 0.250, 0.088)
Tb (0.293, 0.750, 0.588)
Tb (0.707, 0.250, 0.412)
Tb (0.793, 0.750, 0.912)
Mn (0.002, 0.750, 0.089)
Mn (0.019, 0.750, 0.709)
Mn (0.063, 0.750, 0.466)
Mn (0.185, 0.250, 0.793)
Mn (0.187, 0.250, 0.383)
Mn (0.313, 0.750, 0.883)
Mn (0.315, 0.750, 0.293)
Mn (0.437, 0.250, 0.966)
Mn (0.481, 0.250, 0.209)
Mn (0.498, 0.250, 0.589)
Mn (0.502, 0.750, 0.411)
Mn (0.519, 0.750, 0.791)
Mn (0.563, 0.750, 0.034)
Mn (0.685, 0.250, 0.707)
Mn (0.687, 0.250, 0.117)
Mn (0.813, 0.750, 0.617)
Mn (0.815, 0.750, 0.207)
Mn (0.937, 0.250, 0.534)
Mn (0.981, 0.250, 0.291)
Mn (0.998, 0.250, 0.911)
Ge (0.120, 0.250, 0.590)
Ge (0.120, 0.750, 0.911)
Ge (0.122, 0.750, 0.260)
Ge (0.378, 0.250, 0.760)
Ge (0.380, 0.250, 0.411)
Ge (0.380, 0.750, 0.090)
Ge (0.620, 0.250, 0.910)
Ge (0.620, 0.750, 0.589)
Ge (0.622, 0.750, 0.240)
Ge (0.878, 0.250, 0.740)
Ge (0.880, 0.250, 0.089)
Ge (0.880, 0.750, 0.410)



# 8
Structure and theoretical XRD peak list of TbMnGe (the GGA-PBE geometry in the Materials Project; Cu Kα, 1.54184 Å).
Lines closer than 0.1° are merged.

Peak list (10 most intense, 2θ from 5° to 70°, in order of rising 2θ)
Position (°2θ)	Rel. int.
24.30	19
33.75	96
35.19	100
36.13	35
39.69	17
40.41	22
42.46	14
43.90	32
58.11	17
65.27	17

Structural model:
a = 7.107 Å, b = 4.125 Å, c = 7.962 Å
α = 90.00°, β = 90.00°, γ = 90.00°
Element x y z (fractional)
Tb (0.023, 0.250, 0.181)
Tb (0.477, 0.750, 0.681)
Tb (0.523, 0.250, 0.319)
Tb (0.977, 0.750, 0.819)
Mn (0.133, 0.250, 0.555)
Mn (0.367, 0.750, 0.055)
Mn (0.633, 0.250, 0.945)
Mn (0.867, 0.750, 0.445)
Ge (0.223, 0.750, 0.382)
Ge (0.277, 0.250, 0.882)
Ge (0.723, 0.750, 0.118)
Ge (0.777, 0.250, 0.618)



# 9
Structure and theoretical XRD peak list of TbMn6Ge6 (the GGA-PBE geometry in the Materials Project; Cu Kα, 1.54184 Å).
Lines closer than 0.1° are merged.

Peak list (10 most intense, 2θ from 5° to 70°, in order of rising 2θ)
Position (°2θ)	Rel. int.
35.35	74
38.93	42
41.04	48
41.91	100
44.41	24
46.94	37
49.08	22
53.59	17
65.84	18
67.94	23

Structural model:
a = 5.079 Å, b = 5.079 Å, c = 8.160 Å
α = 90.00°, β = 90.00°, γ = 120.00°
Element x y z (fractional)
Tb (0.000, 0.000, 0.000)
Mn (0.000, 0.500, 0.250)
Mn (0.000, 0.500, 0.750)
Mn (0.500, 0.000, 0.250)
Mn (0.500, 0.000, 0.750)
Mn (0.500, 0.500, 0.250)
Mn (0.500, 0.500, 0.750)
Ge (0.000, 0.000, 0.347)
Ge (0.000, 0.000, 0.653)
Ge (0.333, 0.667, 0.000)
Ge (0.333, 0.667, 0.500)
Ge (0.667, 0.333, 0.000)
Ge (0.667, 0.333, 0.500)



# 10
Structure and theoretical XRD peak list of MnTl2GeTe4 (the GGA-PBE geometry in the Materials Project; Cu Kα, 1.54184 Å).
Lines closer than 0.1° are merged.

Peak list (10 most intense, 2θ from 5° to 70°, in order of rising 2θ)
Position (°2θ)	Rel. int.
20.61	18
26.42	77
29.31	49
29.49	32
32.87	41
33.02	100
45.29	20
47.17	24
49.73	28
52.09	25

Structural model:
a = 7.023 Å, b = 7.023 Å, c = 7.023 Å
α = 104.31°, β = 104.31°, γ = 120.38°
Element x y z (fractional)
Mn (0.000, 0.000, 0.000)
Tl (0.000, 0.500, 0.500)
Tl (0.500, 0.000, 0.500)
Ge (0.500, 0.500, 0.000)
Te (0.093, 0.093, 0.660)
Te (0.433, 0.433, 0.340)
Te (0.567, 0.907, 0.000)
Te (0.907, 0.567, 0.000)



# 11
Structure and theoretical XRD peak list of TiMnGe (the GGA-PBE geometry in the Materials Project; Cu Kα, 1.54184 Å).
Lines closer than 0.1° are merged.

Peak list (10 most intense, 2θ from 5° to 70°, in order of rising 2θ)
Position (°2θ)	Rel. int.
27.86	18
29.28	12
37.34	91
40.79	100
40.91	40
42.96	31
43.14	41
49.13	26
50.01	60
50.18	31

Structural model:
a = 7.371 Å, b = 7.371 Å, c = 7.371 Å
α = 120.67°, β = 82.58°, γ = 128.25°
Element x y z (fractional)
Ti (0.001, 0.250, 0.251)
Ti (0.120, 0.098, 0.521)
Ti (0.192, 0.640, 0.052)
Ti (0.577, 0.598, 0.479)
Ti (0.587, 0.140, 0.948)
Ti (0.999, 0.750, 0.749)
Mn (0.345, 0.345, 0.000)
Mn (0.345, 0.845, 0.500)
Mn (0.581, 0.162, 0.339)
Mn (0.581, 0.742, 0.919)
Mn (0.823, 0.242, 0.661)
Mn (0.823, 0.662, 0.081)
Ge (0.247, 0.075, 0.161)
Ge (0.247, 0.586, 0.672)
Ge (0.557, 0.343, 0.714)
Ge (0.629, 0.843, 0.286)
Ge (0.914, 0.086, 0.839)
Ge (0.914, 0.575, 0.328)